Entry 1:
For LaPmC2O8, a crystal structure in Alexandria, relaxed with PBE gives the simulated powder XRD pattern in this record (a wavelength of 1.5418 Å).
No peak broadening, texture or thermal motion is included.

Peak list (12 most intense, 2θ from 10° to 90°, in order of rising 2θ)
| d [Å] | 2θ (°) | intensity |
| --- | --- | --- |
| 3.862 | 23.03 | 74.0 |
| 3.259 | 27.37 | 16.1 |
| 3.187 | 28.00 | 100.0 |
| 2.427 | 37.04 | 47.2 |
| 2.116 | 42.73 | 11.1 |
| 2.111 | 42.83 | 22.1 |
| 2.055 | 44.07 | 29.3 |
| 1.948 | 46.62 | 35.8 |
| 1.943 | 46.75 | 17.7 |
| 1.931 | 47.07 | 19.7 |
| 1.568 | 58.89 | 16.1 |
| 1.512 | 61.31 | 11.8 |

Structural model:
```
LaPmC2O8
1.0
4.2016 -2.4280 0.0000
4.2016 2.4280 0.0000
-2.7766 0.0000 6.5174
La Pm C O
1 1 2 8
direct
0.0000 0.0000 0.0000 La
0.5000 0.5000 0.5000 Pm
0.2415 0.2415 0.7267 C
0.7585 0.7585 0.2733 C
0.0447 0.5809 0.2035 O
0.1704 0.1704 0.5110 O
0.4193 0.4193 0.7967 O
0.4191 0.9553 0.7965 O
0.5809 0.0447 0.2035 O
0.5807 0.5807 0.2033 O
0.8296 0.8296 0.4890 O
0.9553 0.4191 0.7965 O
```

Entry 2:
For La14Sb8CO7, a crystal structure in Alexandria, relaxed with PBE gives the simulated powder XRD pattern in this record (a wavelength of 1.5418 Å).
No peak broadening, texture or thermal motion is included.

Peak list (12 most intense, 2θ from 10° to 90°, in order of rising 2θ)
| d [Å] | 2θ (°) | intensity |
| --- | --- | --- |
| 3.308 | 26.96 | 47.2 |
| 3.170 | 28.15 | 74.3 |
| 3.124 | 28.57 | 87.1 |
| 2.715 | 32.99 | 100.0 |
| 2.339 | 38.49 | 66.3 |
| 2.289 | 39.37 | 22.4 |
| 1.930 | 47.07 | 14.8 |
| 1.882 | 48.36 | 56.5 |
| 1.654 | 55.57 | 19.1 |
| 1.649 | 55.76 | 29.9 |
| 1.466 | 63.44 | 21.2 |
| 1.412 | 66.16 | 18.1 |

Structural model:
```
La14Sb8CO7
1.0
13.2309 0.0000 0.0000
0.0000 13.2309 0.0000
0.0000 0.0000 9.5090
La Sb C O
28 16 2 14
direct
0.0000 0.0000 0.0000 La
0.0000 0.5000 0.9739 La
0.0099 0.2494 0.6530 La
0.1094 0.3906 0.3117 La
0.1152 0.8459 0.3200 La
0.1541 0.1152 0.3200 La
0.2494 0.7494 0.9841 La
0.2494 0.9901 0.6530 La
0.2506 0.2494 0.9841 La
0.2506 0.4901 0.6530 La
0.3459 0.6152 0.3200 La
0.3848 0.3459 0.3200 La
0.3906 0.8906 0.3117 La
0.4901 0.7494 0.6530 La
0.5000 0.0000 0.9739 La
0.5000 0.5000 0.0000 La
0.5099 0.2506 0.6530 La
0.6094 0.1094 0.3117 La
0.6152 0.6541 0.3200 La
0.6541 0.3848 0.3200 La
0.7494 0.5099 0.6530 La
0.7494 0.7506 0.9841 La
0.7506 0.0099 0.6530 La
0.7506 0.2506 0.9841 La
0.8459 0.8848 0.3200 La
0.8848 0.1541 0.3200 La
0.8906 0.6094 0.3117 La
0.9901 0.7506 0.6530 La
0.0000 0.0000 0.6221 Sb
0.0000 0.5000 0.6140 Sb
0.0012 0.2504 0.0110 Sb
0.2406 0.7406 0.6277 Sb
0.2496 0.4988 0.0110 Sb
0.2504 0.9988 0.0110 Sb
0.2594 0.2406 0.6277 Sb
0.4988 0.7504 0.0110 Sb
0.5000 0.0000 0.6140 Sb
0.5000 0.5000 0.6221 Sb
0.5012 0.2496 0.0110 Sb
0.7406 0.7594 0.6277 Sb
0.7496 0.0012 0.0110 Sb
0.7504 0.5012 0.0110 Sb
0.7594 0.2594 0.6277 Sb
0.9988 0.7496 0.0110 Sb
0.0000 0.0000 0.2500 C
0.5000 0.5000 0.2500 C
0.0000 0.5000 0.2093 O
0.0288 0.2407 0.4095 O
0.2363 0.2637 0.2249 O
0.2407 0.9712 0.4095 O
0.2593 0.4712 0.4095 O
0.2637 0.7637 0.2249 O
0.4712 0.7407 0.4095 O
0.5000 0.0000 0.2093 O
0.5288 0.2593 0.4095 O
0.7363 0.2363 0.2249 O
0.7407 0.5288 0.4095 O
0.7593 0.0288 0.4095 O
0.7637 0.7363 0.2249 O
0.9712 0.7593 0.4095 O
```

Entry 3:
For La9Sb5CO4, a crystal structure in Alexandria, relaxed with PBE gives the simulated powder XRD pattern in this record (a wavelength of 1.5418 Å).
No peak broadening, texture or thermal motion is included.

Peak list (12 most intense, 2θ from 10° to 90°, in order of rising 2θ)
| d [Å] | 2θ (°) | intensity |
| --- | --- | --- |
| 3.334 | 26.74 | 43.9 |
| 3.170 | 28.15 | 68.6 |
| 3.146 | 28.37 | 93.2 |
| 2.730 | 32.81 | 100.0 |
| 2.357 | 38.18 | 64.4 |
| 2.297 | 39.22 | 21.7 |
| 1.936 | 46.94 | 16.5 |
| 1.892 | 48.10 | 54.3 |
| 1.667 | 55.09 | 19.1 |
| 1.652 | 55.63 | 28.1 |
| 1.475 | 63.00 | 20.9 |
| 1.423 | 65.62 | 18.2 |

Structural model:
```
La9Sb5CO4
1.0
10.5430 0.0000 0.0000
0.0000 10.5430 0.0000
0.0000 0.0000 9.5096
La Sb C O
18 10 2 8
direct
0.0236 0.1709 0.0028 La
0.0458 0.6455 0.6608 La
0.1455 0.9542 0.3392 La
0.1709 0.4764 0.0028 La
0.2500 0.2500 0.6833 La
0.3291 0.0236 0.0028 La
0.3545 0.5458 0.3392 La
0.4542 0.8545 0.6608 La
0.4764 0.3291 0.0028 La
0.5236 0.6709 0.9972 La
0.5458 0.1455 0.3392 La
0.6455 0.4542 0.6608 La
0.6709 0.9764 0.9972 La
0.7500 0.7500 0.3167 La
0.8291 0.5236 0.9972 La
0.8545 0.0458 0.6608 La
0.9542 0.3545 0.3392 La
0.9764 0.8291 0.9972 La
0.0558 0.6523 0.3028 Sb
0.1523 0.9442 0.6972 Sb
0.2500 0.2500 0.3171 Sb
0.3477 0.5558 0.6972 Sb
0.4442 0.8477 0.3028 Sb
0.5558 0.1523 0.6972 Sb
0.6523 0.4442 0.3028 Sb
0.7500 0.7500 0.6829 Sb
0.8477 0.0558 0.3028 Sb
0.9442 0.3477 0.6972 Sb
0.2500 0.2500 0.9325 C
0.7500 0.7500 0.0675 C
0.0240 0.6286 0.9025 O
0.1286 0.9760 0.0975 O
0.3714 0.5240 0.0975 O
0.4760 0.8714 0.9025 O
0.5240 0.1286 0.0975 O
0.6286 0.4760 0.9025 O
0.8714 0.0240 0.9025 O
0.9760 0.3714 0.0975 O
```